# 1
# YZn8Ni4
Simulated powder diffraction line list, Cu Kα X-rays. Input: DFT lattice parameters and positions (GGA-PBE).
Neutral-atom scattering factors, no anomalous dispersion.

Main lines, in order of rising 2θ (2θ = 5–70°):
2θ/deg, I_rel
35.6, 23
36.2, 49
41.6, 71
42.1, 100
42.3, 73
46.9, 78
47.4, 23
47.6, 29

Atomic structure:
Lattice parameters (Å, degrees): 6.547 6.547 6.547 98.54 98.54 134.66
Element x y z (fractional)
1 Y 0.000 0.000 0.000
2 Zn 0.000 0.342 0.342
3 Zn 0.000 0.658 0.658
4 Zn 0.277 0.500 0.777
5 Zn 0.342 0.000 0.342
6 Zn 0.500 0.277 0.777
7 Zn 0.500 0.723 0.223
8 Zn 0.658 0.000 0.658
9 Zn 0.723 0.500 0.223
10 Ni 0.000 0.000 0.500
11 Ni 0.000 0.500 0.000
12 Ni 0.500 0.000 0.000
13 Ni 0.500 0.500 0.500

# 2
# Zn2Ni7
Simulated powder diffraction line list, Cu Kα X-rays. Input: DFT lattice parameters and positions (GGA-PBE).
Neutral-atom scattering factors, no anomalous dispersion.

Main lines, in order of rising 2θ (2θ = 5–70°):
2θ/deg, I_rel
7.6, 100
11.4, 25
42.6, 40
44.1, 10
44.9, 31
46.2, 96
51.6, 43
54.0, 39

Atomic structure:
Lattice parameters (Å, degrees): 2.411 2.411 23.369 90.00 90.00 120.00
Element x y z (fractional)
1 Zn 0.333 0.667 0.141
2 Zn 0.667 0.333 0.859
3 Ni 0.000 0.000 0.236
4 Ni 0.000 0.000 0.500
5 Ni 0.000 0.000 0.764
6 Ni 0.333 0.667 0.412
7 Ni 0.333 0.667 0.676
8 Ni 0.667 0.333 0.324
9 Ni 0.667 0.333 0.588

# 3
# Zn11Ni2
Simulated powder diffraction line list, Cu Kα X-rays. Input: DFT lattice parameters and positions (GGA-PBE).
Neutral-atom scattering factors, no anomalous dispersion.

Main lines, in order of rising 2θ (2θ = 5–70°):
2θ/deg, I_rel
34.9, 7
37.8, 5
43.1, 100
47.9, 8
50.1, 4
52.3, 3
62.5, 7
64.4, 2

Atomic structure:
Lattice parameters (Å, degrees): 7.719 7.719 7.719 109.47 109.47 109.47
Element x y z (fractional)
1 Zn 0.000 0.000 0.210
2 Zn 0.000 0.210 0.000
3 Zn 0.000 0.351 0.737
4 Zn 0.000 0.355 0.355
5 Zn 0.000 0.645 0.645
6 Zn 0.000 0.737 0.351
7 Zn 0.210 0.000 0.000
8 Zn 0.263 0.263 0.614
9 Zn 0.263 0.614 0.263
10 Zn 0.351 0.000 0.737
11 Zn 0.351 0.737 0.000
12 Zn 0.355 0.000 0.355
13 Zn 0.355 0.355 0.000
14 Zn 0.386 0.649 0.649
15 Zn 0.614 0.263 0.263
16 Zn 0.645 0.000 0.645
17 Zn 0.645 0.645 0.000
18 Zn 0.649 0.386 0.649
19 Zn 0.649 0.649 0.386
20 Zn 0.737 0.000 0.351
21 Zn 0.737 0.351 0.000
22 Zn 0.790 0.790 0.790
23 Ni 0.000 0.000 0.656
24 Ni 0.000 0.656 0.000
25 Ni 0.344 0.344 0.344
26 Ni 0.656 0.000 0.000

# 4
# ZnNi
Simulated powder diffraction line list, Cu Kα X-rays. Input: DFT lattice parameters and positions (GGA-PBE).
Neutral-atom scattering factors, no anomalous dispersion.

Main lines, in order of rising 2θ (2θ = 5–70°):
2θ/deg, I_rel
39.6, 26
44.8, 24
45.7, 100
61.3, 13

Atomic structure:
Lattice parameters (Å, degrees): 2.629 2.629 4.048 90.00 90.00 120.00
Element x y z (fractional)
1 Zn 0.000 0.000 0.000
2 Ni 0.333 0.667 0.500

# 5
# ZrZn20Ni2
Simulated powder diffraction line list, Cu Kα X-rays. Input: DFT lattice parameters and positions (GGA-PBE).
Neutral-atom scattering factors, no anomalous dispersion.

Main lines, in order of rising 2θ (2θ = 5–70°):
2θ/deg, I_rel
38.4, 100
39.0, 18
41.2, 42
42.8, 79
43.3, 85
45.3, 26
46.8, 32
56.3, 22

Atomic structure:
Lattice parameters (Å, degrees): 9.800 9.800 9.800 60.00 60.00 60.00
Element x y z (fractional)
1 Zr 0.125 0.125 0.125
2 Zr 0.875 0.875 0.875
3 Zn 0.000 0.000 0.000
4 Zn 0.000 0.000 0.500
5 Zn 0.000 0.500 0.000
6 Zn 0.056 0.323 0.323
7 Zn 0.056 0.323 0.797
8 Zn 0.056 0.797 0.323
9 Zn 0.203 0.677 0.677
10 Zn 0.203 0.677 0.944
11 Zn 0.203 0.944 0.677
12 Zn 0.238 0.238 0.512
13 Zn 0.238 0.512 0.238
14 Zn 0.238 0.512 0.512
15 Zn 0.323 0.056 0.323
16 Zn 0.323 0.056 0.797
17 Zn 0.323 0.323 0.056
18 Zn 0.323 0.323 0.797
19 Zn 0.323 0.797 0.056
20 Zn 0.323 0.797 0.323
21 Zn 0.488 0.488 0.762
22 Zn 0.488 0.762 0.488
23 Zn 0.488 0.762 0.762
24 Zn 0.500 0.000 0.000
25 Zn 0.512 0.238 0.238
26 Zn 0.512 0.238 0.512
27 Zn 0.512 0.512 0.238
28 Zn 0.677 0.203 0.677
29 Zn 0.677 0.203 0.944
30 Zn 0.677 0.677 0.203
31 Zn 0.677 0.677 0.944
32 Zn 0.677 0.944 0.203
33 Zn 0.677 0.944 0.677
34 Zn 0.762 0.488 0.488
35 Zn 0.762 0.488 0.762
36 Zn 0.762 0.762 0.488
37 Zn 0.797 0.056 0.323
38 Zn 0.797 0.323 0.056
39 Zn 0.797 0.323 0.323
40 Zn 0.944 0.203 0.677
41 Zn 0.944 0.677 0.203
42 Zn 0.944 0.677 0.677
43 Ni 0.000 0.500 0.500
44 Ni 0.500 0.000 0.500
45 Ni 0.500 0.500 0.000
46 Ni 0.500 0.500 0.500

# 6
# Zr7Ni10
Simulated powder diffraction line list, Cu Kα X-rays. Input: DFT lattice parameters and positions (GGA-PBE).
Neutral-atom scattering factors, no anomalous dispersion.

Main lines, in order of rising 2θ (2θ = 5–70°):
2θ/deg, I_rel
37.9, 86
39.3, 45
40.2, 100
42.0, 28
42.4, 20
43.7, 15
47.4, 17
56.7, 18

Atomic structure:
Lattice parameters (Å, degrees): 7.717 7.717 9.185 90.00 90.00 72.89
Element x y z (fractional)
1 Zr 0.000 0.000 0.000
2 Zr 0.003 0.497 0.250
3 Zr 0.186 0.814 0.687
4 Zr 0.192 0.192 0.500
5 Zr 0.308 0.308 0.000
6 Zr 0.314 0.686 0.187
7 Zr 0.497 0.003 0.750
8 Zr 0.500 0.500 0.500
9 Zr 0.503 0.997 0.250
10 Zr 0.686 0.314 0.813
11 Zr 0.692 0.692 0.000
12 Zr 0.808 0.808 0.500
13 Zr 0.814 0.186 0.313
14 Zr 0.997 0.503 0.750
15 Ni 0.063 0.647 0.993
16 Ni 0.106 0.894 0.396
17 Ni 0.136 0.154 0.792
18 Ni 0.147 0.563 0.493
19 Ni 0.154 0.136 0.208
20 Ni 0.346 0.364 0.708
21 Ni 0.353 0.937 0.993
22 Ni 0.364 0.346 0.292
23 Ni 0.394 0.606 0.896
24 Ni 0.437 0.853 0.493
25 Ni 0.563 0.147 0.507
26 Ni 0.606 0.394 0.104
27 Ni 0.636 0.654 0.708
28 Ni 0.647 0.063 0.007
29 Ni 0.654 0.636 0.292
30 Ni 0.846 0.864 0.792
31 Ni 0.853 0.437 0.507
32 Ni 0.864 0.846 0.208
33 Ni 0.894 0.106 0.604
34 Ni 0.937 0.353 0.007

# 7
# Np
Simulated powder diffraction line list, Cu Kα X-rays. Input: DFT lattice parameters and positions (GGA-PBE).
Neutral-atom scattering factors, no anomalous dispersion.

Main lines, in order of rising 2θ (2θ = 5–70°):
2θ/deg, I_rel
32.5, 100
38.8, 63
51.5, 57
56.0, 22
61.1, 34
66.3, 14

Atomic structure:
Lattice parameters (Å, degrees): 3.703 3.703 3.703 102.30 102.30 125.03
Element x y z (fractional)
1 Np 0.375 0.625 0.750
2 Np 0.625 0.375 0.250

# 8
# Np
Simulated powder diffraction line list, Cu Kα X-rays. Input: DFT lattice parameters and positions (GGA-PBE).
Neutral-atom scattering factors, no anomalous dispersion.

Main lines, in order of rising 2θ (2θ = 5–70°):
2θ/deg, I_rel
32.7, 100
37.0, 42
43.0, 25
44.9, 44
50.2, 34
55.3, 33
58.0, 19
64.0, 11

Atomic structure:
Lattice parameters (Å, degrees): 4.859 4.859 3.616 90.00 90.00 120.08
Element x y z (fractional)
1 Np 0.143 0.857 0.882
2 Np 0.357 0.643 0.382
3 Np 0.643 0.357 0.618
4 Np 0.857 0.143 0.118